# Er12Tl6Os
Theoretical X-ray diffraction stick pattern, CuKα. Input: DFT lattice parameters and positions (GGA-PBE).

Peak list (12 most intense, 5 to 70 degrees two-theta, sorted by position)
- 15.8°, I = 21.2
- 28.1°, I = 38.7
- 29.6°, I = 16.4
- 31.6°, I = 100.0
- 33.7°, I = 45.5
- 35.2°, I = 26.4
- 36.0°, I = 85.7
- 40.8°, I = 17.8
- 46.7°, I = 18.2
- 49.0°, I = 13.1
- 57.9°, I = 17.2
- 68.6°, I = 16.4

Cell and atoms:
```
data_Er12Tl6Os
_chemical_formula_sum 'Er12 Tl6 Os1'
_cell_length_a 8.265
_cell_length_b 8.265
_cell_length_c 8.265
_cell_angle_alpha 93.77
_cell_angle_beta 93.77
_cell_angle_gamma 93.77
_space_group_name_H-M_alt 'P 1'
_space_group_IT_number 1
loop_
_space_group_symop_operation_xyz
'x,y,z'
loop_
_atom_site_label
_atom_site_type_symbol
_atom_site_fract_x
_atom_site_fract_y
_atom_site_fract_z
_atom_site_occupancy
Er1 Er 0.046 0.928 0.706 1
Er2 Er 0.072 0.294 0.954 1
Er3 Er 0.187 0.407 0.527 1
Er4 Er 0.294 0.954 0.072 1
Er5 Er 0.407 0.527 0.187 1
Er6 Er 0.473 0.813 0.593 1
Er7 Er 0.527 0.187 0.407 1
Er8 Er 0.593 0.473 0.813 1
Er9 Er 0.706 0.046 0.928 1
Er10 Er 0.813 0.593 0.473 1
Er11 Er 0.928 0.706 0.046 1
Er12 Er 0.954 0.072 0.294 1
Tl1 Tl 0.151 0.772 0.367 1
Tl2 Tl 0.228 0.633 0.849 1
Tl3 Tl 0.367 0.151 0.772 1
Tl4 Tl 0.633 0.849 0.228 1
Tl5 Tl 0.772 0.367 0.151 1
Tl6 Tl 0.849 0.228 0.633 1
Os1 Os 0.500 0.500 0.500 1
```

=====

# Ti3ZnPd3
Theoretical X-ray diffraction stick pattern, CuKα. Input: DFT lattice parameters and positions (GGA-PBE).

Peak list (12 most intense, 5 to 70 degrees two-theta, sorted by position)
- 20.0°, I = 12.3
- 28.4°, I = 53.5
- 36.9°, I = 100.0
- 38.8°, I = 29.2
- 42.3°, I = 58.4
- 44.0°, I = 71.5
- 48.7°, I = 21.0
- 50.2°, I = 12.8
- 53.2°, I = 19.5
- 54.6°, I = 8.5
- 58.7°, I = 9.2
- 66.5°, I = 8.5

Cell and atoms:
```
data_Ti3ZnPd3
_chemical_formula_sum 'Ti12 Zn4 Pd12'
_cell_length_a 7.703
_cell_length_b 7.703
_cell_length_c 7.703
_cell_angle_alpha 90.00
_cell_angle_beta 90.00
_cell_angle_gamma 90.00
_space_group_name_H-M_alt 'P 1'
_space_group_IT_number 1
loop_
_space_group_symop_operation_xyz
'x,y,z'
loop_
_atom_site_label
_atom_site_type_symbol
_atom_site_fract_x
_atom_site_fract_y
_atom_site_fract_z
_atom_site_occupancy
Ti1 Ti 0.043 0.457 0.543 1
Ti2 Ti 0.132 0.868 0.368 1
Ti3 Ti 0.200 0.200 0.200 1
Ti4 Ti 0.300 0.800 0.700 1
Ti5 Ti 0.368 0.132 0.868 1
Ti6 Ti 0.457 0.543 0.043 1
Ti7 Ti 0.543 0.043 0.457 1
Ti8 Ti 0.632 0.632 0.632 1
Ti9 Ti 0.700 0.300 0.800 1
Ti10 Ti 0.800 0.700 0.300 1
Ti11 Ti 0.868 0.368 0.132 1
Ti12 Ti 0.957 0.957 0.957 1
Zn1 Zn 0.096 0.596 0.904 1
Zn2 Zn 0.404 0.404 0.404 1
Zn3 Zn 0.596 0.904 0.096 1
Zn4 Zn 0.904 0.096 0.596 1
Pd1 Pd 0.050 0.268 0.857 1
Pd2 Pd 0.143 0.550 0.232 1
Pd3 Pd 0.232 0.143 0.550 1
Pd4 Pd 0.268 0.857 0.050 1
Pd5 Pd 0.357 0.450 0.732 1
Pd6 Pd 0.450 0.732 0.357 1
Pd7 Pd 0.550 0.232 0.143 1
Pd8 Pd 0.643 0.950 0.768 1
Pd9 Pd 0.732 0.357 0.450 1
Pd10 Pd 0.768 0.643 0.950 1
Pd11 Pd 0.857 0.050 0.268 1
Pd12 Pd 0.950 0.768 0.643 1
```

=====

# CsCoAg2
Theoretical X-ray diffraction stick pattern, CuKα. Input: DFT lattice parameters and positions (GGA-PBE).

Peak list (12 most intense, 5 to 70 degrees two-theta, sorted by position)
- 16.7°, I = 29.7
- 22.1°, I = 91.4
- 24.8°, I = 100.0
- 30.2°, I = 41.6
- 32.1°, I = 25.4
- 33.8°, I = 61.4
- 36.4°, I = 50.2
- 38.4°, I = 31.1
- 38.5°, I = 30.7
- 41.5°, I = 29.3
- 45.1°, I = 26.6
- 50.9°, I = 63.1

Cell and atoms:
```
data_CsCoAg2
_chemical_formula_sum 'Cs4 Co4 Ag8'
_cell_length_a 5.571
_cell_length_b 5.571
_cell_length_c 17.426
_cell_angle_alpha 90.00
_cell_angle_beta 90.00
_cell_angle_gamma 90.00
_space_group_name_H-M_alt 'P 1'
_space_group_IT_number 1
loop_
_space_group_symop_operation_xyz
'x,y,z'
loop_
_atom_site_label
_atom_site_type_symbol
_atom_site_fract_x
_atom_site_fract_y
_atom_site_fract_z
_atom_site_occupancy
Cs1 Cs 0.000 0.250 0.375 1
Cs2 Cs 0.000 0.750 0.625 1
Cs3 Cs 0.500 0.250 0.125 1
Cs4 Cs 0.500 0.750 0.875 1
Co1 Co 0.000 0.250 0.875 1
Co2 Co 0.000 0.750 0.125 1
Co3 Co 0.500 0.250 0.625 1
Co4 Co 0.500 0.750 0.375 1
Ag1 Ag 0.000 0.000 0.000 1
Ag2 Ag 0.000 0.500 0.000 1
Ag3 Ag 0.250 0.250 0.750 1
Ag4 Ag 0.250 0.750 0.250 1
Ag5 Ag 0.500 0.000 0.500 1
Ag6 Ag 0.500 0.500 0.500 1
Ag7 Ag 0.750 0.250 0.750 1
Ag8 Ag 0.750 0.750 0.250 1
```

=====

# Sr3Li4La5O12
Theoretical X-ray diffraction stick pattern, CuKα. Input: DFT lattice parameters and positions (GGA-PBE).

Peak list (12 most intense, 5 to 70 degrees two-theta, sorted by position)
- 26.2°, I = 19.6
- 26.4°, I = 12.7
- 28.8°, I = 100.0
- 29.2°, I = 32.4
- 31.8°, I = 40.8
- 36.6°, I = 20.4
- 38.4°, I = 14.3
- 38.7°, I = 11.9
- 47.1°, I = 14.8
- 49.6°, I = 22.7
- 51.0°, I = 31.0
- 56.8°, I = 15.2

Cell and atoms:
```
data_Sr3Li4La5O12
_chemical_formula_sum 'Sr3 Li4 La5 O12'
_cell_length_a 6.968
_cell_length_b 3.582
_cell_length_c 13.594
_cell_angle_alpha 90.00
_cell_angle_beta 90.04
_cell_angle_gamma 90.00
_space_group_name_H-M_alt 'P 1'
_space_group_IT_number 1
loop_
_space_group_symop_operation_xyz
'x,y,z'
loop_
_atom_site_label
_atom_site_type_symbol
_atom_site_fract_x
_atom_site_fract_y
_atom_site_fract_z
_atom_site_occupancy
Sr1 Sr 0.000 0.000 0.000 1
Sr2 Sr 0.176 0.500 0.442 1
Sr3 Sr 0.502 0.000 0.939 1
Li1 Li 0.211 0.500 0.855 1
Li2 Li 0.463 0.000 0.351 1
Li3 Li 0.711 0.500 0.087 1
Li4 Li 0.970 0.000 0.590 1
La1 La 0.330 0.500 0.177 1
La2 La 0.348 0.000 0.679 1
La3 La 0.672 0.500 0.504 1
La4 La 0.829 0.500 0.764 1
La5 La 0.845 0.000 0.262 1
O1 O 0.074 0.000 0.817 1
O2 O 0.089 0.500 0.621 1
O3 O 0.217 0.000 0.283 1
O4 O 0.268 0.500 0.002 1
O5 O 0.419 0.000 0.492 1
O6 O 0.459 0.500 0.791 1
O7 O 0.577 0.000 0.128 1
O8 O 0.600 0.500 0.323 1
O9 O 0.720 0.000 0.650 1
O10 O 0.770 0.500 0.944 1
O11 O 0.900 0.000 0.444 1
O12 O 0.954 0.500 0.159 1
```

=====

# K5As2
Theoretical X-ray diffraction stick pattern, CuKα. Input: DFT lattice parameters and positions (GGA-PBE).

Peak list (12 most intense, 5 to 70 degrees two-theta, sorted by position)
- 19.2°, I = 73.5
- 26.7°, I = 23.2
- 27.2°, I = 30.6
- 28.6°, I = 19.7
- 29.9°, I = 100.0
- 32.5°, I = 90.0
- 32.6°, I = 93.6
- 35.7°, I = 50.1
- 35.9°, I = 41.9
- 54.7°, I = 25.0
- 54.9°, I = 26.0
- 59.6°, I = 25.1

Cell and atoms:
```
data_K5As2
_chemical_formula_sum 'K10 As4'
_cell_length_a 10.092
_cell_length_b 10.092
_cell_length_c 10.092
_cell_angle_alpha 130.36
_cell_angle_beta 67.16
_cell_angle_gamma 137.79
_space_group_name_H-M_alt 'P 1'
_space_group_IT_number 1
loop_
_space_group_symop_operation_xyz
'x,y,z'
loop_
_atom_site_label
_atom_site_type_symbol
_atom_site_fract_x
_atom_site_fract_y
_atom_site_fract_z
_atom_site_occupancy
K1 K 0.013 0.250 0.763 1
K2 K 0.079 0.646 0.724 1
K3 K 0.250 0.250 0.000 1
K4 K 0.421 0.146 0.567 1
K5 K 0.487 0.250 0.237 1
K6 K 0.513 0.750 0.763 1
K7 K 0.579 0.854 0.433 1
K8 K 0.750 0.750 0.000 1
K9 K 0.921 0.354 0.276 1
K10 K 0.987 0.750 0.237 1
As1 As 0.123 0.257 0.379 1
As2 As 0.377 0.757 0.134 1
As3 As 0.623 0.243 0.866 1
As4 As 0.877 0.743 0.621 1
```

=====

# Tm4Al5Ge6
Theoretical X-ray diffraction stick pattern, CuKα. Input: DFT lattice parameters and positions (GGA-PBE).

Peak list (12 most intense, 5 to 70 degrees two-theta, sorted by position)
- 11.8°, I = 39.9
- 22.2°, I = 36.4
- 29.8°, I = 34.4
- 31.3°, I = 73.4
- 31.9°, I = 38.3
- 32.7°, I = 59.1
- 33.6°, I = 36.4
- 35.8°, I = 22.5
- 36.2°, I = 100.0
- 39.6°, I = 25.0
- 44.2°, I = 49.7
- 49.2°, I = 22.9

Cell and atoms:
```
data_Tm4Al5Ge6
_chemical_formula_sum 'Tm8 Al10 Ge12'
_cell_length_a 10.176
_cell_length_b 10.176
_cell_length_c 15.029
_cell_angle_alpha 90.00
_cell_angle_beta 90.00
_cell_angle_gamma 156.79
_space_group_name_H-M_alt 'P 1'
_space_group_IT_number 1
loop_
_space_group_symop_operation_xyz
'x,y,z'
loop_
_atom_site_label
_atom_site_type_symbol
_atom_site_fract_x
_atom_site_fract_y
_atom_site_fract_z
_atom_site_occupancy
Tm1 Tm 0.011 0.989 0.500 1
Tm2 Tm 0.036 0.964 0.777 1
Tm3 Tm 0.164 0.836 0.316 1
Tm4 Tm 0.183 0.817 0.951 1
Tm5 Tm 0.817 0.183 0.451 1
Tm6 Tm 0.836 0.164 0.816 1
Tm7 Tm 0.964 0.036 0.277 1
Tm8 Tm 0.989 0.011 0.000 1
Al1 Al 0.148 0.852 0.635 1
Al2 Al 0.308 0.692 0.626 1
Al3 Al 0.341 0.659 0.285 1
Al4 Al 0.356 0.644 0.985 1
Al5 Al 0.439 0.561 0.696 1
Al6 Al 0.561 0.439 0.196 1
Al7 Al 0.644 0.356 0.485 1
Al8 Al 0.659 0.341 0.785 1
Al9 Al 0.692 0.308 0.126 1
Al10 Al 0.852 0.148 0.135 1
Ge1 Ge 0.108 0.892 0.120 1
Ge2 Ge 0.219 0.781 0.499 1
Ge3 Ge 0.234 0.766 0.766 1
Ge4 Ge 0.419 0.581 0.417 1
Ge5 Ge 0.434 0.566 0.133 1
Ge6 Ge 0.442 0.558 0.863 1
Ge7 Ge 0.558 0.442 0.363 1
Ge8 Ge 0.566 0.434 0.633 1
Ge9 Ge 0.581 0.419 0.917 1
Ge10 Ge 0.766 0.234 0.266 1
Ge11 Ge 0.781 0.219 0.999 1
Ge12 Ge 0.892 0.108 0.620 1
```